Computed powder XRD pattern
Compound: Cu3Pd3Pt
Radiation: Cu Ka
Structure: DFT lattice parameters and positions (GGA-PBE)

Structure:
```
data_Cu3Pd3Pt
_cell_length_a 6.064
_cell_length_b 6.064
_cell_length_c 6.064
_cell_angle_alpha 72.49
_cell_angle_beta 72.49
_cell_angle_gamma 72.49
_symmetry_space_group_name_H-M 'P 1'
_symmetry_Int_Tables_number 1
loop_
_symmetry_equiv_pos_as_xyz
'x,y,z'
loop_
_atom_site_label
_atom_site_type_symbol
_atom_site_fract_x
_atom_site_fract_y
_atom_site_fract_z
Cu1 Cu 0.183 0.604 0.466
Cu2 Cu 0.396 0.534 0.817
Cu3 Cu 0.466 0.183 0.604
Cu4 Cu 0.534 0.817 0.396
Cu5 Cu 0.604 0.466 0.183
Cu6 Cu 0.817 0.396 0.534
Pd1 Pd 0.046 0.325 0.883
Pd2 Pd 0.117 0.954 0.675
Pd3 Pd 0.325 0.883 0.046
Pd4 Pd 0.675 0.117 0.954
Pd5 Pd 0.883 0.046 0.325
Pd6 Pd 0.954 0.675 0.117
Pt1 Pt 0.258 0.258 0.258
Pt2 Pt 0.742 0.742 0.742
```

The 10 most intense peaks (2θ = 10–90°), low angle first:
4.537 Å, 19.57°, intensity 9; 3.585 Å, 24.84°, intensity 5; 2.930 Å, 30.51°, intensity 3; 2.813 Å, 31.81°, intensity 4; 2.787 Å, 32.12°, intensity 3; 2.214 Å, 40.76°, intensity 100; 1.917 Å, 47.42°, intensity 48; 1.356 Å, 69.32°, intensity 30; 1.156 Å, 83.65°, intensity 35; 1.107 Å, 88.33°, intensity 8